# 1
# DyHg3
Simulated PXRD pattern, Cu Ka. Input: the PBE geometry in the Materials Project.

Structural model:
```
DyHg3
1.0
6.6773 0.0000 0.0000
-3.3387 5.7827 0.0000
0.0000 0.0000 5.0046
Dy Hg
2 6
Direct
0.3333 0.6667 0.2500 Dy
0.6667 0.3333 0.7500 Dy
0.1664 0.3327 0.7500 Hg
0.1664 0.8336 0.7500 Hg
0.3327 0.1664 0.2500 Hg
0.6673 0.8336 0.7500 Hg
0.8336 0.1664 0.2500 Hg
0.8336 0.6673 0.2500 Hg
```

Principal peaks in the range 10° ≤ 2θ ≤ 90°, by angle:
2θ/deg, I/Imax, hkl
23.5, 1, 1 0 1
30.9, 20, 2 0 0
35.9, 100, 0 0 2
48.1, 12, 2 0 2
55.0, 16, 2 2 0
64.5, 18, 2 0 3
67.4, 31, 2 2 2
76.0, 5, 0 0 4
84.3, 3, 2 0 4
89.8, 9, 4 0 3



# 2
# DyHg2
Simulated PXRD pattern, Cu Ka. Input: the PBE geometry in the Materials Project.

Structural model:
```
DyHg2
1.0
5.3557 0.0000 0.0000
-2.6778 4.6381 0.0000
0.0000 0.0000 3.4471
Dy Hg
1 2
Direct
0.0000 0.0000 0.0000 Dy
0.3333 0.6667 0.0795 Hg
0.6667 0.3333 0.9205 Hg
```

Principal peaks in the range 10° ≤ 2θ ≤ 90°, by angle:
2θ/deg, I/Imax, hkl
25.8, 53, 0 0 1
32.4, 19, 1 0 1
33.5, 100, 1 1 0
42.8, 86, 1 1 1
57.0, 12, 0 1 2
59.8, 19, 3 0 0
64.3, 14, 1 1 2
66.3, 24, 3 0 1
70.3, 12, 2 2 0
76.3, 16, 2 2 1



# 3
# DyHg
Simulated PXRD pattern, Cu Ka. Input: the PBE geometry in the Materials Project.

Structural model:
```
DyHg
1.0
3.7291 0.0000 0.0000
0.0000 3.7291 0.0000
0.0000 0.0000 3.7291
Dy Hg
1 1
Direct
0.0000 0.0000 0.0000 Dy
0.5000 0.5000 0.5000 Hg
```

Principal peaks in the range 10° ≤ 2θ ≤ 90°, by angle:
2θ/deg, I/Imax, hkl
23.9, 1, 1 0 0
34.0, 100, 1 1 0
48.8, 18, 2 0 0
55.1, 1, 2 1 0
60.8, 38, 2 1 1
71.6, 12, 2 2 0
81.6, 17, 3 1 0



# 4
# DyHg2
Simulated PXRD pattern, Cu Ka. Input: the PBE geometry in the Materials Project.

Structural model:
```
DyHg2
1.0
4.9577 0.0000 0.0000
-2.4788 4.2935 0.0000
0.0000 0.0000 3.4482
Dy Hg
1 2
Direct
0.0000 0.0000 0.0000 Dy
0.3333 0.6667 0.5000 Hg
0.6667 0.3333 0.5000 Hg
```

Principal peaks in the range 10° ≤ 2θ ≤ 90°, by angle:
2θ/deg, I/Imax, hkl
25.8, 14, 0 0 1
33.3, 100, 1 0 1
36.2, 97, 1 1 0
45.0, 20, 1 1 1
50.1, 32, 2 0 1
63.3, 32, 2 1 1
65.2, 18, 3 0 0
66.0, 35, 1 1 2
86.5, 14, 3 1 1
88.9, 17, 3 0 2